Starting from the PBE geometry in Alexandria, the powder X-ray diffraction pattern of ZrScMo was simulated for a wavelength of 1.5418 Å.
Intensities are scaled so that the largest is 100.

Top 10 peaks for 2θ = 15–90°, sorted by position:
two_theta  intensity
35.31  30
36.99  100
38.24  19
45.30  13
53.03  14
53.58  9
64.48  18
65.81  9
68.31  10
78.75  9

Crystal structure
```
ZrScMo
1.0
3.421 0.000 0.000
0.000 5.084 0.000
0.000 0.000 14.120
Zr Sc Mo
4 4 4
Direct
0.000 0.000 0.000
0.000 0.500 0.500
0.500 0.000 0.500
0.500 0.500 0.000
0.000 0.000 0.302
0.000 0.500 0.802
0.500 0.000 0.802
0.500 0.500 0.302
0.000 0.000 0.648
0.000 0.500 0.148
0.500 0.000 0.148
0.500 0.500 0.648
```



Starting from the PBE geometry in Alexandria, the powder X-ray diffraction pattern of ZrScMo was simulated for a wavelength of 1.5418 Å.
Intensities are scaled so that the largest is 100.

Top 10 peaks for 2θ = 15–90°, sorted by position:
two_theta  intensity
34.33  100
39.72  17
41.51  64
51.64  10
56.33  23
63.83  10
67.66  13
71.13  17
72.35  12
77.87  9

Crystal structure
```
ZrScMo
1.0
3.266 0.000 0.000
-1.633 2.829 0.000
0.000 0.000 6.807
Zr Sc Mo
1 1 1
Direct
0.000 0.000 0.000
0.333 0.667 0.596
0.667 0.333 0.288
```



Starting from the PBE geometry in Alexandria, the powder X-ray diffraction pattern of Mo9Se11 was simulated for a wavelength of 1.5418 Å.
Intensities are scaled so that the largest is 100.

Top 10 peaks for 2θ = 15–90°, sorted by position:
two_theta  intensity
28.76  32
29.45  26
32.11  21
36.16  27
38.34  33
42.01  43
43.88  100
44.40  26
50.27  21
53.17  19

Crystal structure
```
Mo9Se11
1.0
9.565 0.000 0.000
-4.782 8.283 0.000
0.000 0.000 12.242
Mo Se
18 22
Direct
0.161 0.645 0.061
0.161 0.645 0.439
0.178 0.498 0.250
0.320 0.822 0.250
0.355 0.516 0.061
0.355 0.516 0.439
0.484 0.839 0.061
0.484 0.839 0.439
0.498 0.320 0.750
0.502 0.680 0.250
0.516 0.161 0.561
0.516 0.161 0.939
0.645 0.484 0.561
0.645 0.484 0.939
0.680 0.178 0.750
0.822 0.502 0.750
0.839 0.355 0.561
0.839 0.355 0.939
0.007 0.637 0.250
0.040 0.335 0.078
0.040 0.335 0.422
0.295 0.960 0.078
0.295 0.960 0.422
0.333 0.667 0.603
0.333 0.667 0.897
0.335 0.295 0.578
0.335 0.295 0.922
0.363 0.370 0.250
0.370 0.007 0.750
0.630 0.993 0.250
0.637 0.630 0.750
0.665 0.705 0.078
0.665 0.705 0.422
0.667 0.333 0.103
0.667 0.333 0.397
0.705 0.040 0.578
0.705 0.040 0.922
0.960 0.665 0.578
0.960 0.665 0.922
0.993 0.363 0.750
```



Starting from the PBE geometry in Alexandria, the powder X-ray diffraction pattern of Mo3Se4 was simulated for a wavelength of 1.5418 Å.
Intensities are scaled so that the largest is 100.

Top 10 peaks for 2θ = 15–90°, sorted by position:
two_theta  intensity
31.50  19
34.60  100
35.44  22
39.26  36
39.37  34
40.49  20
40.65  24
49.50  36
52.55  16
55.79  21

Crystal structure
```
Mo3Se4
1.0
3.296 0.000 0.000
-0.031 9.061 0.000
-1.618 -3.795 10.496
Mo Se
6 8
Direct
0.008 0.175 0.014
0.213 0.383 0.426
0.427 0.970 0.851
0.573 0.030 0.149
0.787 0.617 0.574
0.992 0.825 0.986
0.165 0.071 0.335
0.213 0.661 0.422
0.391 0.669 0.784
0.446 0.271 0.885
0.554 0.729 0.115
0.609 0.331 0.216
0.787 0.339 0.578
0.835 0.929 0.665
```



Starting from the PBE geometry in Alexandria, the powder X-ray diffraction pattern of Mo9Se11 was simulated for a wavelength of 1.5418 Å.
Intensities are scaled so that the largest is 100.

Top 10 peaks for 2θ = 15–90°, sorted by position:
two_theta  intensity
28.11  45
31.25  40
38.67  84
40.57  68
44.18  33
44.42  100
44.96  52
45.37  28
51.07  22
53.18  22

Crystal structure
```
Mo9Se11
1.0
6.048 -6.666 0.000
6.048 6.666 0.000
0.000 0.000 11.168
Mo Se
18 22
Direct
0.018 0.600 0.630
0.018 0.600 0.870
0.147 0.853 0.750
0.193 0.428 0.750
0.322 0.678 0.628
0.322 0.678 0.872
0.400 0.982 0.630
0.400 0.982 0.870
0.428 0.193 0.250
0.572 0.807 0.750
0.600 0.018 0.130
0.600 0.018 0.370
0.678 0.322 0.128
0.678 0.322 0.372
0.807 0.572 0.250
0.853 0.147 0.250
0.982 0.400 0.130
0.982 0.400 0.370
0.087 0.627 0.250
0.135 0.220 0.250
0.154 0.846 0.517
0.154 0.846 0.983
0.209 0.444 0.518
0.209 0.444 0.982
0.220 0.135 0.750
0.373 0.913 0.250
0.444 0.209 0.018
0.444 0.209 0.482
0.489 0.511 0.750
0.511 0.489 0.250
0.556 0.791 0.518
0.556 0.791 0.982
0.627 0.087 0.750
0.780 0.865 0.250
0.791 0.556 0.018
0.791 0.556 0.482
0.846 0.154 0.017
0.846 0.154 0.483
0.865 0.780 0.750
0.913 0.373 0.750
```



Starting from the PBE geometry in Alexandria, the powder X-ray diffraction pattern of Mo3Se4 was simulated for a wavelength of 1.5418 Å.
Intensities are scaled so that the largest is 100.

Top 10 peaks for 2θ = 15–90°, sorted by position:
two_theta  intensity
29.95  30
32.10  25
32.40  53
39.65  54
41.10  29
42.06  18
44.48  100
47.96  19
50.17  40
57.97  23

Crystal structure
```
Mo3Se4
1.0
4.829 2.788 3.794
-4.829 2.788 3.794
0.000 -5.576 3.794
Mo Se
6 8
Direct
0.227 0.547 0.414
0.414 0.227 0.547
0.453 0.586 0.773
0.547 0.414 0.227
0.586 0.773 0.453
0.773 0.453 0.586
0.127 0.384 0.744
0.218 0.218 0.218
0.256 0.873 0.616
0.384 0.744 0.127
0.616 0.256 0.873
0.744 0.127 0.384
0.782 0.782 0.782
0.873 0.616 0.256
```